Entry 1:
This entry pairs a crystal structure of Ac2Zn4Pd3Rh with its calculated powder diffractogram. Radiation: Cu Kα (weighted mean of Kα1 and Kα2). Structure: the GGA-PBE geometry in Alexandria.
Kinematic intensities with the Lorentz-polarization factor, no thermal factor.

Structure:
```
Ac2Zn4Pd3Rh
1.0
4.4709 0.0000 0.0000
0.0000 4.4709 0.0000
0.0000 0.0000 10.2534
Ac Zn Pd Rh
2 4 3 1
Direct
0.0000 0.5000 0.2380
0.5000 0.0000 0.7620
0.0000 0.0000 0.5000
0.0000 0.5000 0.8775
0.5000 0.0000 0.1225
0.5000 0.5000 0.5000
0.0000 0.0000 0.0000
0.0000 0.5000 0.6284
0.5000 0.0000 0.3716
0.5000 0.5000 0.0000
```

The 12 most intense peaks (2θ = 5–70°), in order of rising 2θ:
d_spacing	Rel. int.
4.098	14.2
3.161	23.4
2.715	74.0
2.691	100.0
2.235	62.2
1.864	26.4
1.726	38.8
1.581	20.8
1.503	14.5
1.432	20.9
1.366	8.9
1.363	24.3


Entry 2:
This entry pairs a crystal structure of Ac4PdRu2 with its calculated powder diffractogram. Radiation: Cu Kα (weighted mean of Kα1 and Kα2). Structure: the GGA-PBE geometry in Alexandria.
Kinematic intensities with the Lorentz-polarization factor, no thermal factor.

Structure:
```
Ac4PdRu2
1.0
6.4993 -4.4312 0.0000
6.4993 4.4312 0.0000
-6.4869 0.0000 7.7368
Ac Pd Ru
8 2 4
Direct
0.0483 0.0483 0.3443
0.0499 0.5421 0.8287
0.4420 0.4566 0.6610
0.4579 0.9501 0.1713
0.5309 0.0429 0.8206
0.5434 0.5580 0.3390
0.9517 0.9517 0.6557
0.9571 0.4691 0.1794
0.2542 0.2572 0.0027
0.7428 0.7458 0.9973
0.0032 0.5172 0.5066
0.2375 0.7625 0.5000
0.4828 0.9968 0.4934
0.4930 0.5070 0.0000
```

The 12 most intense peaks (2θ = 5–70°), in order of rising 2θ:
d_spacing	Rel. int.
3.324	50.2
3.309	100.0
3.250	12.9
2.488	23.1
2.482	45.7
2.229	41.6
2.216	20.7
1.889	19.1
1.887	12.0
1.844	19.4
1.838	10.5
1.655	13.4


Entry 3:
This entry pairs a crystal structure of Ac12PdRu4 with its calculated powder diffractogram. Radiation: Cu Kα (weighted mean of Kα1 and Kα2). Structure: the GGA-PBE geometry in Alexandria.
Kinematic intensities with the Lorentz-polarization factor, no thermal factor.

Structure:
```
Ac12PdRu4
1.0
-5.5499 5.5731 5.5769
5.5499 -5.5731 5.5769
5.5499 5.5731 -5.5769
Ac Pd Ru
12 1 4
Direct
0.0218 0.2054 0.8164
0.1828 0.2969 0.4797
0.1828 0.7031 0.8858
0.3167 0.0084 0.6917
0.3167 0.6250 0.3083
0.3890 0.2054 0.1836
0.6110 0.7946 0.8164
0.6833 0.3750 0.6917
0.6833 0.9916 0.3083
0.8172 0.2969 0.1142
0.8172 0.7031 0.5203
0.9782 0.7946 0.1836
0.0000 0.0000 0.0000
0.0000 0.0000 0.5000
0.0000 0.5000 0.0000
0.5000 0.0000 0.0000
0.5000 0.5000 0.5000
```

The 12 most intense peaks (2θ = 5–70°), in order of rising 2θ:
d_spacing	Rel. int.
5.565	40.5
3.525	79.1
3.512	47.8
3.214	33.4
2.976	100.0
2.788	20.1
2.492	25.0
2.274	20.2
1.911	50.9
1.906	19.1
1.807	33.1
1.803	26.8


Entry 4:
This entry pairs a crystal structure of AcZr4Pd3S12 with its calculated powder diffractogram. Radiation: Cu Kα (weighted mean of Kα1 and Kα2). Structure: the GGA-PBE geometry in Alexandria.
Kinematic intensities with the Lorentz-polarization factor, no thermal factor.

Structure:
```
AcZr4Pd3S12
1.0
-4.7354 4.7354 4.7354
4.7354 -4.7354 4.7354
4.7354 4.7354 -4.7354
Ac Zr Pd S
1 4 3 12
Direct
0.0000 0.0000 0.0000
0.0000 0.0000 0.5000
0.0000 0.5000 0.0000
0.5000 0.0000 0.0000
0.5000 0.5000 0.5000
0.0000 0.5000 0.5000
0.5000 0.0000 0.5000
0.5000 0.5000 0.0000
0.1454 0.8367 0.3087
0.1633 0.3087 0.4720
0.1633 0.6913 0.8546
0.3087 0.1454 0.8367
0.3087 0.4720 0.1633
0.4720 0.1633 0.3087
0.5280 0.8367 0.6913
0.6913 0.5280 0.8367
0.6913 0.8546 0.1633
0.8367 0.3087 0.1454
0.8367 0.6913 0.5280
0.8546 0.1633 0.6913
```

The 12 most intense peaks (2θ = 5–70°), in order of rising 2θ:
d_spacing	Rel. int.
6.697	8.1
3.348	100.0
2.995	14.3
2.734	5.8
2.531	12.9
2.368	29.4
1.933	66.7
1.674	15.0
1.578	3.8
1.536	3.9
1.497	22.0
1.367	5.6


Entry 5:
This entry pairs a crystal structure of Ac2SbPd7 with its calculated powder diffractogram. Radiation: Cu Kα (weighted mean of Kα1 and Kα2). Structure: the GGA-PBE geometry in Alexandria.
Kinematic intensities with the Lorentz-polarization factor, no thermal factor.

Structure:
```
Ac2SbPd7
1.0
4.1612 0.0000 0.0000
0.0000 4.1612 0.0000
0.0000 0.0000 12.4342
Ac Sb Pd
2 1 7
Direct
0.0000 0.5000 0.2268
0.5000 0.0000 0.7732
0.0000 0.0000 0.5000
0.0000 0.0000 0.0000
0.0000 0.5000 0.6449
0.0000 0.5000 0.8580
0.5000 0.0000 0.1420
0.5000 0.0000 0.3551
0.5000 0.5000 0.0000
0.5000 0.5000 0.5000
```

The 12 most intense peaks (2θ = 5–70°), in order of rising 2θ:
d_spacing	Rel. int.
3.109	7.3
2.938	60.1
2.660	100.0
2.490	7.4
2.135	44.3
2.081	45.8
1.729	5.5
1.698	19.2
1.694	5.7
1.596	4.8
1.490	20.5
1.471	15.0


Entry 6:
This entry pairs a crystal structure of AcSmSbPd with its calculated powder diffractogram. Radiation: Cu Kα (weighted mean of Kα1 and Kα2). Structure: the GGA-PBE geometry in Alexandria.
Kinematic intensities with the Lorentz-polarization factor, no thermal factor.

Structure:
```
AcSmSbPd
1.0
7.7009 0.0000 0.0000
0.0000 7.7009 0.0000
0.0000 0.0000 7.7009
Ac Sm Sb Pd
4 4 4 4
Direct
0.0000 0.0000 0.0000
0.0000 0.5000 0.5000
0.5000 0.0000 0.5000
0.5000 0.5000 0.0000
0.0000 0.0000 0.5000
0.0000 0.5000 0.0000
0.5000 0.0000 0.0000
0.5000 0.5000 0.5000
0.2500 0.2500 0.2500
0.2500 0.7500 0.7500
0.7500 0.2500 0.7500
0.7500 0.7500 0.2500
0.2500 0.2500 0.7500
0.2500 0.7500 0.2500
0.7500 0.2500 0.2500
0.7500 0.7500 0.7500
```

The 11 most intense peaks (2θ = 5–70°), in order of rising 2θ:
d_spacing	Rel. int.
4.446	3.0
3.850	6.4
2.723	100.0
2.322	1.9
2.223	2.1
1.925	18.3
1.767	0.9
1.722	3.1
1.572	38.2
1.482	0.7
1.361	11.8


Entry 7:
This entry pairs a crystal structure of Ac3Sb2TePd9 with its calculated powder diffractogram. Radiation: Cu Kα (weighted mean of Kα1 and Kα2). Structure: the GGA-PBE geometry in Alexandria.
Kinematic intensities with the Lorentz-polarization factor, no thermal factor.

Structure:
```
Ac3Sb2TePd9
1.0
5.9457 0.0000 0.0000
-2.9729 5.1491 0.0000
0.0000 0.0000 12.2787
Ac Sb Te Pd
3 2 1 9
Direct
0.0000 0.0000 0.0000
0.3333 0.6667 0.7505
0.6667 0.3333 0.2495
0.3333 0.6667 0.1677
0.6667 0.3333 0.8323
0.0000 0.0000 0.5000
0.0000 0.5000 0.0000
0.1636 0.3271 0.3312
0.1636 0.8364 0.3312
0.3271 0.1636 0.6688
0.5000 0.0000 0.0000
0.5000 0.5000 0.0000
0.6729 0.8364 0.3312
0.8364 0.1636 0.6688
0.8364 0.6729 0.6688
```

The 12 most intense peaks (2θ = 5–70°), in order of rising 2θ:
d_spacing	Rel. int.
12.279	22.3
4.093	28.7
3.945	45.5
3.204	25.4
2.973	26.9
2.520	52.4
2.374	100.0
2.217	25.4
2.136	19.1
1.973	30.1
1.525	16.4
1.486	27.2


Entry 8:
This entry pairs a crystal structure of Ac2ScSn3Pd6 with its calculated powder diffractogram. Radiation: Cu Kα (weighted mean of Kα1 and Kα2). Structure: the GGA-PBE geometry in Alexandria.
Kinematic intensities with the Lorentz-polarization factor, no thermal factor.

Structure:
```
Ac2ScSn3Pd6
1.0
4.2759 0.0000 0.0000
0.0000 4.2759 0.0000
0.0000 0.0000 16.8537
Ac Sc Sn Pd
2 1 3 6
Direct
0.0000 0.0000 0.1935
0.0000 0.0000 0.8065
0.0000 0.0000 0.5000
0.5000 0.5000 0.0000
0.5000 0.5000 0.3104
0.5000 0.5000 0.6896
0.0000 0.5000 0.4038
0.0000 0.5000 0.5962
0.5000 0.0000 0.4038
0.5000 0.0000 0.5962
0.5000 0.5000 0.1517
0.5000 0.5000 0.8483
```

The 12 most intense peaks (2θ = 5–70°), in order of rising 2θ:
d_spacing	Rel. int.
8.427	39.3
3.402	99.3
3.371	40.2
3.023	46.4
2.976	87.1
2.846	64.3
2.647	38.1
2.138	99.9
2.098	47.1
2.058	100.0
1.810	35.0
1.512	33.3


Entry 9:
This entry pairs a crystal structure of Ac3ScZn2Pd6 with its calculated powder diffractogram. Radiation: Cu Kα (weighted mean of Kα1 and Kα2). Structure: the GGA-PBE geometry in Alexandria.
Kinematic intensities with the Lorentz-polarization factor, no thermal factor.

Structure:
```
Ac3ScZn2Pd6
1.0
5.9710 0.0000 0.0000
-2.9855 5.1710 0.0000
0.0000 0.0000 9.1235
Ac Sc Zn Pd
3 1 2 6
Direct
0.0000 0.0000 0.0000
0.3333 0.6667 0.6395
0.6667 0.3333 0.3605
0.0000 0.0000 0.5000
0.3333 0.6667 0.0470
0.6667 0.3333 0.9530
0.1749 0.3498 0.2820
0.1749 0.8251 0.2820
0.3498 0.1749 0.7180
0.6502 0.8251 0.2820
0.8251 0.1749 0.7180
0.8251 0.6502 0.7180
```

The 12 most intense peaks (2θ = 5–70°), in order of rising 2θ:
d_spacing	Rel. int.
4.499	32.8
3.421	50.8
3.041	40.2
2.985	44.7
2.498	33.9
2.488	100.0
2.249	73.9
2.130	24.7
2.087	21.0
1.722	24.9
1.492	34.9
1.484	18.2


Entry 10:
This entry pairs a crystal structure of AcPdSe with its calculated powder diffractogram. Radiation: Cu Kα (weighted mean of Kα1 and Kα2). Structure: the GGA-PBE geometry in Alexandria.
Kinematic intensities with the Lorentz-polarization factor, no thermal factor.

Structure:
```
AcPdSe
1.0
4.5403 0.0000 0.0000
-2.2701 3.9320 0.0000
0.0000 0.0000 4.1409
Ac Pd Se
1 1 1
Direct
0.0000 0.0000 0.0000
0.3333 0.6667 0.5000
0.6667 0.3333 0.5000
```

The 11 most intense peaks (2θ = 5–70°), in order of rising 2θ:
d_spacing	Rel. int.
3.932	18.0
2.851	100.0
2.270	44.5
2.070	11.3
1.966	3.0
1.832	4.9
1.776	25.4
1.530	26.0
1.486	2.5
1.426	2.2
1.399	23.2